For Li3Fe8B8O24, DFT lattice parameters and positions (GGA+U) gives the simulated X-ray diffraction stick pattern in this record (Cu Kα, 1.54184 Å).
Intensities are scaled so that the largest is 100.

Most intense lines, 10 to 80 degrees two-theta, by angle:
| h k l | 2θ/deg | intensity |
| --- | --- | --- |
| 1 -1 0 | 19.5 | 47 |
| 1 1 -1 | 19.7 | 79 |
| 0 2 -2 | 21.5 | 98 |
| 1 1 -2 | 21.6 | 60 |
| 0 2 1 | 26.2 | 77 |
| 0 2 -3 | 26.4 | 56 |
| 2 0 -1 | 34.3 | 37 |
| 1 3 -2 | 34.4 | 34 |
| 0 0 4 | 35.3 | 100 |
| -2 2 1 | 40.6 | 45 |

Crystal structure
```
data_Li3Fe8B8O24
_chemical_formula_sum 'Li3 Fe8 B8 O24'
_cell_length_a 5.2259
_cell_length_b 9.0745
_cell_length_c 11.3888
_cell_angle_alpha 112.76
_cell_angle_beta 103.21
_cell_angle_gamma 90.63
_space_group_name_H-M_alt 'P 1'
_space_group_IT_number 1
loop_
_space_group_symop_operation_xyz
'x,y,z'
loop_
_atom_site_label
_atom_site_fract_x
_atom_site_fract_y
_atom_site_fract_z
_atom_site_occupancy
Li1 0.0000 0.0000 0.0000 1
Li2 0.2175 0.2443 0.5035 1
Li3 0.7755 0.4783 0.2607 1
Fe1 0.0336 0.3960 0.7848 1
Fe2 0.2486 0.6021 0.5337 1
Fe3 0.2753 0.3021 0.2769 1
Fe4 0.5128 0.1996 0.0289 1
Fe5 0.5260 0.9012 0.7823 1
Fe6 0.7260 0.0918 0.5362 1
Fe7 0.7747 0.8259 0.2872 1
Fe8 0.9982 0.6773 0.0361 1
B1 0.0392 0.0685 0.7908 1
B2 0.2259 0.9383 0.5341 1
B3 0.2805 0.6452 0.2854 1
B4 0.4990 0.8549 0.0336 1
B5 0.5375 0.5633 0.7852 1
B6 0.7486 0.4364 0.5374 1
B7 0.7790 0.1520 0.2903 1
B8 0.9981 0.3575 0.0378 1
O1 0.0473 0.1639 0.3126 1
O2 0.0989 0.7298 0.2323 1
O3 0.1115 0.4585 0.9894 1
O4 0.1397 0.2388 0.0632 1
O5 0.1789 0.5435 0.3344 1
O6 0.2338 0.8382 0.0278 1
O7 0.3134 0.0764 0.8224 1
O8 0.3576 0.8309 0.5839 1
O9 0.3586 0.0710 0.5422 1
O10 0.3836 0.4435 0.7854 1
O11 0.4265 0.6732 0.7343 1
O12 0.4705 0.4205 0.5070 1
O13 0.5405 0.6573 0.2857 1
O14 0.6053 0.9568 0.9868 1
O15 0.6331 0.2545 0.2435 1
O16 0.6530 0.0367 0.3190 1
O17 0.6761 0.7678 0.0858 1
O18 0.7586 0.3846 0.0645 1
O19 0.8143 0.5807 0.8353 1
O20 0.8826 0.3290 0.5842 1
O21 0.8886 0.5505 0.5200 1
O22 0.8914 0.9567 0.8087 1
O23 0.9188 0.1753 0.7427 1
O24 0.9544 0.9027 0.4777 1
```

=====

For V3OF11, DFT lattice parameters and positions (GGA+U) gives the simulated X-ray diffraction stick pattern in this record (Cu Kα, 1.54184 Å).
Intensities are scaled so that the largest is 100.

Most intense lines, 10 to 80 degrees two-theta, by angle:
| h k l | 2θ/deg | intensity |
| --- | --- | --- |
| 0 0 3 | 18.3 | 56 |
| -1 1 1 | 25.2 | 100 |
| 0 2 -1 | 32.8 | 9 |
| 0 0 6 | 37.1 | 9 |
| 2 1 -2 | 39.1 | 11 |
| 1 0 6 | 40.9 | 7 |
| 2 -2 1 | 48.0 | 17 |
| 1 1 -8 | 53.1 | 9 |
| 1 -3 0 | 54.1 | 8 |
| -3 1 1 | 55.7 | 8 |

Crystal structure
```
data_V3OF11
_chemical_formula_sum 'V6 O2 F22'
_cell_length_a 5.2763
_cell_length_b 5.4574
_cell_length_c 14.7959
_cell_angle_alpha 100.28
_cell_angle_beta 90.05
_cell_angle_gamma 90.02
_space_group_name_H-M_alt 'P 1'
_space_group_IT_number 1
loop_
_space_group_symop_operation_xyz
'x,y,z'
loop_
_atom_site_label
_atom_site_fract_x
_atom_site_fract_y
_atom_site_fract_z
_atom_site_occupancy
V1 0.0000 0.0000 0.0000 1
V2 0.0043 0.6686 0.3343 1
V3 0.4794 0.7945 0.6646 1
V4 0.4954 0.5018 0.0071 1
V5 0.5044 0.1685 0.3343 1
V6 0.9947 0.3237 0.6689 1
O1 0.3002 0.5439 0.6453 1
O2 0.4229 0.5467 0.1156 1
F1 0.0915 0.7105 0.4513 1
F2 0.0923 0.0448 0.1159 1
F3 0.0917 0.3830 0.7845 1
F4 0.2028 0.3584 0.3097 1
F5 0.2117 0.6966 0.9751 1
F6 0.2139 0.0266 0.6430 1
F7 0.3011 0.1998 0.9750 1
F8 0.3058 0.8590 0.3097 1
F9 0.4188 0.2104 0.4514 1
F10 0.4308 0.8952 0.7842 1
F11 0.5902 0.1276 0.2175 1
F12 0.5951 0.4640 0.8858 1
F13 0.5965 0.8027 0.5525 1
F14 0.7030 0.4789 0.3590 1
F15 0.7072 0.8061 0.0258 1
F16 0.7124 0.1392 0.6908 1
F17 0.7919 0.6387 0.6916 1
F18 0.7976 0.3058 0.0250 1
F19 0.8061 0.9786 0.3587 1
F20 0.9194 0.6267 0.2174 1
F21 0.9237 0.9583 0.8827 1
F22 0.9283 0.2972 0.5508 1
```

=====

For Ca3La5Mn7NiO24, DFT lattice parameters and positions (GGA+U) gives the simulated X-ray diffraction stick pattern in this record (Cu Kα, 1.54184 Å).
Intensities are scaled so that the largest is 100.

Most intense lines, 10 to 80 degrees two-theta, by angle:
| h k l | 2θ/deg | intensity |
| --- | --- | --- |
| 0 1 -1 | 13.9 | 8 |
| 1 1 1 | 21.4 | 10 |
| 0 0 4 | 32.4 | 19 |
| 1 2 -2 | 32.5 | 100 |
| 2 0 4 | 46.6 | 25 |
| 0 4 0 | 46.7 | 13 |
| 1 -2 6 | 57.8 | 13 |
| 3 2 -2 | 58.1 | 26 |
| 2 -4 4 | 68.1 | 13 |
| 1 6 -2 | 77.5 | 10 |

Crystal structure
```
data_Ca3La5Mn7NiO24
_chemical_formula_sum 'Ca3 La5 Mn7 Ni1 O24'
_cell_length_a 5.4953
_cell_length_b 7.7843
_cell_length_c 11.0588
_cell_angle_alpha 90.01
_cell_angle_beta 90.09
_cell_angle_gamma 90.00
_space_group_name_H-M_alt 'P 1'
_space_group_IT_number 1
loop_
_space_group_symop_operation_xyz
'x,y,z'
loop_
_atom_site_label
_atom_site_fract_x
_atom_site_fract_y
_atom_site_fract_z
_atom_site_occupancy
Ca1 0.0000 0.0000 0.0000 1
Ca2 0.0289 0.4971 0.4575 1
Ca3 0.5022 0.4993 0.2124 1
La1 0.0066 0.0002 0.4951 1
La2 0.0182 0.4960 0.9677 1
La3 0.5084 0.4945 0.7132 1
La4 0.5161 0.9975 0.2406 1
La5 0.5204 0.0022 0.7487 1
Mn1 0.0118 0.7437 0.2300 1
Mn2 0.0128 0.2520 0.2303 1
Mn3 0.0142 0.7486 0.7303 1
Mn4 0.5116 0.2531 0.4775 1
Mn5 0.5135 0.7417 0.4772 1
Mn6 0.5125 0.7511 0.9823 1
Mn7 0.5146 0.2473 0.9821 1
Ni1 0.0133 0.2490 0.7298 1
O1 0.0776 0.9999 0.2279 1
O2 0.0849 0.9907 0.7176 1
O3 0.2311 0.7115 0.0914 1
O4 0.2335 0.2864 0.0915 1
O5 0.2353 0.7038 0.5872 1
O6 0.2387 0.2881 0.5832 1
O7 0.2967 0.7084 0.3384 1
O8 0.2979 0.7113 0.8391 1
O9 0.2989 0.2888 0.3360 1
O10 0.3026 0.2847 0.8434 1
O11 0.4327 0.0002 0.9785 1
O12 0.4450 0.9988 0.4708 1
O13 0.5796 0.4978 0.9861 1
O14 0.5991 0.4965 0.4887 1
O15 0.7229 0.2098 0.6167 1
O16 0.7319 0.7861 0.1184 1
O17 0.7317 0.7875 0.6214 1
O18 0.7344 0.2095 0.1202 1
O19 0.7862 0.2091 0.8754 1
O20 0.7915 0.7885 0.3691 1
O21 0.7925 0.2076 0.3688 1
O22 0.7934 0.7925 0.8714 1
O23 0.9334 0.4962 0.2332 1
O24 0.9448 0.5067 0.7441 1
```

=====

For Li9Mn2Co5O16, DFT lattice parameters and positions (GGA+U) gives the simulated X-ray diffraction stick pattern in this record (Cu Kα, 1.54184 Å).
Intensities are scaled so that the largest is 100.

Most intense lines, 10 to 80 degrees two-theta, by angle:
| h k l | 2θ/deg | intensity |
| --- | --- | --- |
| 0 2 1 | 18.4 | 100 |
| 1 1 -1 | 35.4 | 16 |
| 0 0 4 | 36.3 | 13 |
| 1 -1 2 | 36.5 | 13 |
| -1 1 2 | 37.6 | 8 |
| 1 3 0 | 42.6 | 30 |
| 0 2 5 | 44.0 | 26 |
| 1 -3 1 | 44.2 | 27 |
| 0 6 -1 | 62.7 | 8 |
| 2 0 1 | 63.5 | 8 |

Crystal structure
```
data_Li9Mn2Co5O16
_chemical_formula_sum 'Li9 Mn2 Co5 O16'
_cell_length_a 2.9317
_cell_length_b 9.8416
_cell_length_c 10.4604
_cell_angle_alpha 72.81
_cell_angle_beta 82.44
_cell_angle_gamma 88.28
_space_group_name_H-M_alt 'P 1'
_space_group_IT_number 1
loop_
_space_group_symop_operation_xyz
'x,y,z'
loop_
_atom_site_label
_atom_site_fract_x
_atom_site_fract_y
_atom_site_fract_z
_atom_site_occupancy
Li1 0.0000 0.0000 0.0000 1
Li2 0.0437 0.2971 0.8808 1
Li3 0.1809 0.9301 0.6226 1
Li4 0.3084 0.5576 0.3741 1
Li5 0.4309 0.1720 0.1159 1
Li6 0.5446 0.8057 0.8797 1
Li7 0.6833 0.4339 0.6220 1
Li8 0.8055 0.0534 0.3732 1
Li9 0.9312 0.6814 0.1278 1
Mn1 0.6155 0.1159 0.7555 1
Mn2 0.8650 0.3638 0.2538 1
Co1 0.1167 0.6192 0.7475 1
Co2 0.2289 0.2391 0.5021 1
Co3 0.3712 0.8717 0.2389 1
Co4 0.4925 0.4952 0.9991 1
Co5 0.7439 0.7406 0.4954 1
O1 0.0298 0.6424 0.9378 1
O2 0.1014 0.9787 0.8031 1
O3 0.1407 0.2559 0.6841 1
O4 0.2083 0.5929 0.5602 1
O5 0.2797 0.8882 0.4256 1
O6 0.2938 0.2164 0.3225 1
O7 0.4363 0.5142 0.1887 1
O8 0.4489 0.8363 0.0832 1
O9 0.5346 0.1492 0.9202 1
O10 0.5697 0.4735 0.8128 1
O11 0.6665 0.7677 0.6806 1
O12 0.7125 0.1031 0.5636 1
O13 0.7451 0.3770 0.4432 1
O14 0.8004 0.7204 0.3146 1
O15 0.9273 0.0121 0.1931 1
O16 0.9547 0.3452 0.0658 1
```

=====

Copy entry 2 word for word.
For V3OF11, DFT lattice parameters and positions (GGA+U) gives the simulated X-ray diffraction stick pattern in this record (Cu Kα, 1.54184 Å).
Intensities are scaled so that the largest is 100.

Most intense lines, 10 to 80 degrees two-theta, by angle:
| h k l | 2θ/deg | intensity |
| --- | --- | --- |
| 0 0 3 | 18.3 | 56 |
| -1 1 1 | 25.2 | 100 |
| 0 2 -1 | 32.8 | 9 |
| 0 0 6 | 37.1 | 9 |
| 2 1 -2 | 39.1 | 11 |
| 1 0 6 | 40.9 | 7 |
| 2 -2 1 | 48.0 | 17 |
| 1 1 -8 | 53.1 | 9 |
| 1 -3 0 | 54.1 | 8 |
| -3 1 1 | 55.7 | 8 |

Crystal structure
```
data_V3OF11
_chemical_formula_sum 'V6 O2 F22'
_cell_length_a 5.2763
_cell_length_b 5.4574
_cell_length_c 14.7959
_cell_angle_alpha 100.28
_cell_angle_beta 90.05
_cell_angle_gamma 90.02
_space_group_name_H-M_alt 'P 1'
_space_group_IT_number 1
loop_
_space_group_symop_operation_xyz
'x,y,z'
loop_
_atom_site_label
_atom_site_fract_x
_atom_site_fract_y
_atom_site_fract_z
_atom_site_occupancy
V1 0.0000 0.0000 0.0000 1
V2 0.0043 0.6686 0.3343 1
V3 0.4794 0.7945 0.6646 1
V4 0.4954 0.5018 0.0071 1
V5 0.5044 0.1685 0.3343 1
V6 0.9947 0.3237 0.6689 1
O1 0.3002 0.5439 0.6453 1
O2 0.4229 0.5467 0.1156 1
F1 0.0915 0.7105 0.4513 1
F2 0.0923 0.0448 0.1159 1
F3 0.0917 0.3830 0.7845 1
F4 0.2028 0.3584 0.3097 1
F5 0.2117 0.6966 0.9751 1
F6 0.2139 0.0266 0.6430 1
F7 0.3011 0.1998 0.9750 1
F8 0.3058 0.8590 0.3097 1
F9 0.4188 0.2104 0.4514 1
F10 0.4308 0.8952 0.7842 1
F11 0.5902 0.1276 0.2175 1
F12 0.5951 0.4640 0.8858 1
F13 0.5965 0.8027 0.5525 1
F14 0.7030 0.4789 0.3590 1
F15 0.7072 0.8061 0.0258 1
F16 0.7124 0.1392 0.6908 1
F17 0.7919 0.6387 0.6916 1
F18 0.7976 0.3058 0.0250 1
F19 0.8061 0.9786 0.3587 1
F20 0.9194 0.6267 0.2174 1
F21 0.9237 0.9583 0.8827 1
F22 0.9283 0.2972 0.5508 1
```